1.
KNaReH9: theoretical powder X-ray diffraction pattern (a wavelength of 1.5418 Å), based on the GGA-PBE geometry in the Materials Project.

Crystal structure
```
data_KNaReH9
_chemical_formula_sum 'K4 Na4 Re4 H36'
_cell_length_a 9.0641
_cell_length_b 5.6278
_cell_length_c 10.0293
_cell_angle_alpha 90.00
_cell_angle_beta 90.00
_cell_angle_gamma 90.00
_space_group_name_H-M_alt 'P n m a'
_space_group_IT_number 62
loop_
_space_group_symop_operation_xyz
'x,y,z'
'-x,-y,-z'
'-x+1/2,-y,z+1/2'
'x+1/2,y,-z+1/2'
'x+1/2,-y+1/2,-z+1/2'
'-x+1/2,y+1/2,z+1/2'
'-x,y+1/2,-z'
'x,-y+1/2,z'
loop_
_atom_site_label
_atom_site_type_symbol
_atom_site_fract_x
_atom_site_fract_y
_atom_site_fract_z
K1 K 0.0256 0.2500 0.1776
Na1 Na 0.1403 0.2500 0.5744
Re1 Re 0.2265 0.7500 0.3860
H1 H 0.0903 0.2500 0.8568
H2 H 0.0972 0.5336 0.4062
H3 H 0.1043 0.7500 0.2600
H4 H 0.1578 0.7500 0.5419
H5 H 0.1853 0.0366 0.9780
H6 H 0.2303 0.0382 0.7692
```

Peak list (10 most intense, 10° ≤ 2θ ≤ 90°, by intensity)
2θ (°), intensity
20.58, 100
20.24, 87
26.77, 78
18.07, 40
31.12, 39
19.59, 37
37.99, 33
31.80, 32
34.66, 29
37.04, 29



2.
K3NpH6O8: theoretical powder X-ray diffraction pattern (a wavelength of 1.5418 Å), based on the GGA-PBE geometry in the Materials Project.

Crystal structure
```
data_K3NpH6O8
_chemical_formula_sum 'K6 Np2 H12 O16'
_cell_length_a 7.6648
_cell_length_b 8.4646
_cell_length_c 7.9682
_cell_angle_alpha 90.00
_cell_angle_beta 117.12
_cell_angle_gamma 90.00
_space_group_name_H-M_alt 'P 1 21/c 1'
_space_group_IT_number 14
loop_
_space_group_symop_operation_xyz
'x,y,z'
'-x,-y,-z'
'-x,y+1/2,-z+1/2'
'x,-y+1/2,z+1/2'
loop_
_atom_site_label
_atom_site_type_symbol
_atom_site_fract_x
_atom_site_fract_y
_atom_site_fract_z
K1 K 0.0000 0.0000 0.0000
K2 K 0.4129 0.1904 0.9577
Np1 Np 0.0000 0.0000 0.5000
H1 H 0.1705 0.6978 0.3231
H2 H 0.3545 0.5321 0.8295
H3 H 0.4273 0.5183 0.1275
O1 O 0.1280 0.1970 0.5747
O2 O 0.1937 0.5875 0.2997
O3 O 0.2038 0.5689 0.9246
O4 O 0.4417 0.5106 0.7687
```

Peak list (10 most intense, 10° ≤ 2θ ≤ 90°, by intensity)
2θ (°), intensity
16.93, 100
16.31, 82
12.98, 77
24.76, 63
30.87, 45
20.99, 42
25.11, 40
24.24, 38
26.76, 36
34.22, 33



3.
K3NpH6O8: theoretical powder X-ray diffraction pattern (a wavelength of 1.5418 Å), based on the GGA-PBE geometry in the Materials Project.

Crystal structure
```
data_K3NpH6O8
_chemical_formula_sum 'K6 Np2 H12 O16'
_cell_length_a 7.9428
_cell_length_b 8.5929
_cell_length_c 7.8336
_cell_angle_alpha 90.00
_cell_angle_beta 118.91
_cell_angle_gamma 90.00
_space_group_name_H-M_alt 'P 1 21/c 1'
_space_group_IT_number 14
loop_
_space_group_symop_operation_xyz
'x,y,z'
'-x,-y,-z'
'-x,y+1/2,-z+1/2'
'x,-y+1/2,z+1/2'
loop_
_atom_site_label
_atom_site_type_symbol
_atom_site_fract_x
_atom_site_fract_y
_atom_site_fract_z
K1 K 0.0000 0.0000 0.0000
K2 K 0.4032 0.1918 0.9438
Np1 Np 0.0000 0.0000 0.5000
H1 H 0.1953 0.7065 0.8652
H2 H 0.3611 0.5378 0.8126
H3 H 0.4339 0.5368 0.1338
O1 O 0.1291 0.1951 0.5535
O2 O 0.1662 0.5638 0.2653
O3 O 0.2280 0.5976 0.9063
O4 O 0.4435 0.0008 0.2543
```

Peak list (10 most intense, 10° ≤ 2θ ≤ 90°, by intensity)
2θ (°), intensity
16.59, 100
12.73, 45
24.35, 37
30.89, 26
20.67, 23
26.24, 21
24.50, 20
25.99, 18
24.70, 18
25.62, 15



4.
KHO: theoretical powder X-ray diffraction pattern (a wavelength of 1.5418 Å), based on the GGA-PBE geometry in the Materials Project.

Crystal structure
```
data_KHO
_chemical_formula_sum 'K4 H4 O4'
_cell_length_a 4.0133
_cell_length_b 10.8958
_cell_length_c 3.9367
_cell_angle_alpha 90.00
_cell_angle_beta 90.00
_cell_angle_gamma 90.00
_space_group_name_H-M_alt 'C m c 21'
_space_group_IT_number 36
loop_
_space_group_symop_operation_xyz
'x,y,z'
'-x,-y,z+1/2'
'-x,y,z'
'x,-y,z+1/2'
'x+1/2,y+1/2,z'
'-x+1/2,-y+1/2,z+1/2'
'-x+1/2,y+1/2,z'
'x+1/2,-y+1/2,z+1/2'
loop_
_atom_site_label
_atom_site_type_symbol
_atom_site_fract_x
_atom_site_fract_y
_atom_site_fract_z
K1 K 0.0000 0.1430 0.0000
H1 H 0.0000 0.4610 0.1355
O1 O 0.0000 0.3898 0.9815
```

Peak list (10 most intense, 10° ≤ 2θ ≤ 90°, by intensity)
2θ (°), intensity
32.90, 100
40.59, 22
33.27, 17
53.19, 17
27.96, 16
45.19, 12
46.12, 11
57.00, 9
57.79, 8
40.26, 6